[1]
Diffraction record for AcPr2Mg2. The XRD peak list is theoretical, not measured: it uses DFT lattice parameters and positions (GGA-PBE) and Cu Ka.
Peak positions follow from Bragg's law for the DFT cell and can differ from measured ones.

Crystal structure
```
AcPr2Mg2
1.0
4.0576 0.0000 0.0000
0.0000 21.3018 0.0000
0.0000 0.0000 3.9128
Ac Pr Mg
2 4 4
Direct
0.0000 0.0000 0.0000 Ac
0.5000 0.5000 0.0000 Ac
0.0000 0.1843 0.0000 Pr
0.0000 0.8157 0.0000 Pr
0.5000 0.3157 0.0000 Pr
0.5000 0.6843 0.0000 Pr
0.0000 0.4002 0.5000 Mg
0.0000 0.5998 0.5000 Mg
0.5000 0.0998 0.5000 Mg
0.5000 0.9002 0.5000 Mg
```

Principal peaks in the range 2θ from 10° to 80°, sorted by position:
d 3.986, 22.3°, I 66.8
d 3.913, 22.7°, I 77.2
d 3.550, 25.1°, I 47.9
d 2.938, 30.4°, I 100.0
d 2.792, 32.1°, I 90.5
d 2.629, 34.1°, I 64.2
d 2.350, 38.3°, I 69.6
d 1.596, 57.8°, I 35.5

=====

[2]
Diffraction record for Ac6Pr12Mg. The XRD peak list is theoretical, not measured: it uses DFT lattice parameters and positions (GGA-PBE) and Cu Ka.
Peak positions follow from Bragg's law for the DFT cell and can differ from measured ones.

Crystal structure
```
Ac6Pr12Mg
1.0
7.8883 4.5543 3.3444
-7.8883 4.5543 3.3444
0.0000 -9.1086 3.3444
Ac Pr Mg
6 12 1
Direct
0.0445 0.2526 0.3223 Ac
0.2526 0.3223 0.0445 Ac
0.3223 0.0445 0.2526 Ac
0.6777 0.9555 0.7474 Ac
0.7474 0.6777 0.9555 Ac
0.9555 0.7474 0.6777 Ac
0.0070 0.8589 0.3585 Pr
0.1411 0.6415 0.9930 Pr
0.2418 0.6934 0.4230 Pr
0.3066 0.5770 0.7582 Pr
0.3585 0.0070 0.8589 Pr
0.4230 0.2418 0.6934 Pr
0.5770 0.7582 0.3066 Pr
0.6415 0.9930 0.1411 Pr
0.6934 0.4230 0.2418 Pr
0.7582 0.3066 0.5770 Pr
0.8589 0.3585 0.0070 Pr
0.9930 0.1411 0.6415 Pr
0.5000 0.5000 0.5000 Mg
```

Principal peaks in the range 2θ from 10° to 80°, sorted by position:
d 3.545, 25.1°, I 39.2
d 3.233, 27.6°, I 84.1
d 3.079, 29.0°, I 74.4
d 3.024, 29.5°, I 66.3
d 2.992, 29.9°, I 92.7
d 2.981, 30.0°, I 85.0
d 2.823, 31.7°, I 100.0
d 2.696, 33.2°, I 48.9